Dy4Er2Sc: theoretical XRD peak list (Cu Kα), based on a crystal structure in Alexandria, relaxed with GGA-PBE.
Lines closer than 0.1° are merged.

Peak list (10 most intense, 5 to 70 degrees two-theta, sorted by position)
2θ (°)  I_rel
30.6  19.2
30.9  100.0
32.4  82.4
32.8  18.7
33.0  48.6
34.5  27.5
43.5  15.6
45.6  17.7
57.6  17.2
58.6  21.9

Crystal structure
```
Dy4Er2Sc
1.0
5.427 0.000 0.000
0.000 11.973 0.000
0.000 0.000 13.304
Dy Er Sc
16 8 4
Direct
0.001 0.141 0.180 Dy
0.001 0.243 0.425 Dy
0.001 0.257 0.925 Dy
0.001 0.359 0.680 Dy
0.499 0.641 0.180 Dy
0.499 0.743 0.425 Dy
0.499 0.757 0.925 Dy
0.499 0.859 0.680 Dy
0.501 0.141 0.320 Dy
0.501 0.243 0.075 Dy
0.501 0.257 0.575 Dy
0.501 0.359 0.820 Dy
0.999 0.641 0.320 Dy
0.999 0.743 0.075 Dy
0.999 0.757 0.575 Dy
0.999 0.859 0.820 Dy
0.000 0.070 0.656 Er
0.000 0.430 0.156 Er
0.000 0.570 0.844 Er
0.000 0.930 0.344 Er
0.500 0.070 0.844 Er
0.500 0.430 0.344 Er
0.500 0.570 0.656 Er
0.500 0.930 0.156 Er
0.000 0.000 0.000 Sc
0.000 0.500 0.500 Sc
0.500 0.000 0.500 Sc
0.500 0.500 0.000 Sc
```

---

NaCaAsO4: theoretical XRD peak list (Cu Kα), based on a crystal structure in Alexandria, relaxed with GGA-PBE.
Lines closer than 0.1° are merged.

Peak list (10 most intense, 5 to 70 degrees two-theta, sorted by position)
2θ (°)  I_rel
18.4  55.4
20.2  90.1
21.3  22.1
26.5  42.7
28.5  34.8
31.5  100.0
32.4  82.3
37.2  25.0
50.0  26.9
54.1  22.6

Crystal structure
```
NaCaAsO4
1.0
11.627 0.000 0.000
0.000 6.731 0.000
0.000 0.000 5.314
Na Ca As O
4 4 4 16
Direct
0.000 0.000 0.000 Na
0.000 0.500 0.000 Na
0.500 0.000 0.500 Na
0.500 0.500 0.500 Na
0.219 0.250 0.495 Ca
0.281 0.750 0.995 Ca
0.719 0.250 0.005 Ca
0.781 0.750 0.505 Ca
0.098 0.750 0.432 As
0.402 0.250 0.932 As
0.598 0.750 0.068 As
0.902 0.250 0.568 As
0.040 0.250 0.685 O
0.104 0.750 0.754 O
0.169 0.550 0.294 O
0.169 0.950 0.294 O
0.331 0.050 0.794 O
0.331 0.450 0.794 O
0.396 0.250 0.254 O
0.460 0.750 0.185 O
0.540 0.250 0.815 O
0.604 0.750 0.746 O
0.669 0.550 0.206 O
0.669 0.950 0.206 O
0.831 0.050 0.706 O
0.831 0.450 0.706 O
0.896 0.250 0.246 O
0.960 0.750 0.315 O
```

---

Re3Br9O2: theoretical XRD peak list (Cu Kα), based on a crystal structure in Alexandria, relaxed with GGA-PBE.
Lines closer than 0.1° are merged.

Peak list (10 most intense, 5 to 70 degrees two-theta, sorted by position)
2θ (°)  I_rel
11.3  100.0
11.7  17.8
12.1  93.3
15.0  56.5
28.2  28.8
33.0  22.9
34.3  21.7
34.6  35.8
35.0  37.4
45.3  19.2

Crystal structure
```
Re3Br9O2
1.0
8.440 -5.446 0.000
8.440 5.446 0.000
-3.771 0.000 9.502
Re Br O
6 18 4
Direct
0.088 0.303 0.343 Re
0.298 0.298 0.118 Re
0.303 0.088 0.343 Re
0.697 0.912 0.657 Re
0.702 0.702 0.882 Re
0.912 0.697 0.657 Re
0.056 0.477 0.189 Br
0.105 0.795 0.806 Br
0.137 0.137 0.515 Br
0.148 0.148 0.943 Br
0.177 0.484 0.555 Br
0.205 0.895 0.194 Br
0.428 0.428 0.334 Br
0.477 0.056 0.189 Br
0.484 0.177 0.555 Br
0.516 0.823 0.445 Br
0.523 0.944 0.811 Br
0.572 0.572 0.666 Br
0.795 0.105 0.806 Br
0.823 0.516 0.445 Br
0.852 0.852 0.057 Br
0.863 0.863 0.485 Br
0.895 0.205 0.194 Br
0.944 0.523 0.811 Br
0.228 0.772 0.000 O
0.346 0.346 0.001 O
0.654 0.654 0.999 O
0.772 0.228 0.000 O
```

---

Repeat the third record exactly.
Re3Br9O2: theoretical XRD peak list (Cu Kα), based on a crystal structure in Alexandria, relaxed with GGA-PBE.
Lines closer than 0.1° are merged.

Peak list (10 most intense, 5 to 70 degrees two-theta, sorted by position)
2θ (°)  I_rel
11.3  100.0
11.7  17.8
12.1  93.3
15.0  56.5
28.2  28.8
33.0  22.9
34.3  21.7
34.6  35.8
35.0  37.4
45.3  19.2

Crystal structure
```
Re3Br9O2
1.0
8.440 -5.446 0.000
8.440 5.446 0.000
-3.771 0.000 9.502
Re Br O
6 18 4
Direct
0.088 0.303 0.343 Re
0.298 0.298 0.118 Re
0.303 0.088 0.343 Re
0.697 0.912 0.657 Re
0.702 0.702 0.882 Re
0.912 0.697 0.657 Re
0.056 0.477 0.189 Br
0.105 0.795 0.806 Br
0.137 0.137 0.515 Br
0.148 0.148 0.943 Br
0.177 0.484 0.555 Br
0.205 0.895 0.194 Br
0.428 0.428 0.334 Br
0.477 0.056 0.189 Br
0.484 0.177 0.555 Br
0.516 0.823 0.445 Br
0.523 0.944 0.811 Br
0.572 0.572 0.666 Br
0.795 0.105 0.806 Br
0.823 0.516 0.445 Br
0.852 0.852 0.057 Br
0.863 0.863 0.485 Br
0.895 0.205 0.194 Br
0.944 0.523 0.811 Br
0.228 0.772 0.000 O
0.346 0.346 0.001 O
0.654 0.654 0.999 O
0.772 0.228 0.000 O
```